# Tb4Dy2Tm3
Computed powder diffractogram, Cu Kα (weighted mean of Kα1 and Kα2). Input: a cell relaxed with GGA-PBE.
Neutral-atom scattering factors, no anomalous dispersion.

Main lines, by angle (2θ from 10° to 90°):
- 28.72°, intensity 12.3
- 30.41°, intensity 63.1
- 31.03°, intensity 46.3
- 31.45°, intensity 59.7
- 32.16°, intensity 100.0
- 37.74°, intensity 33.7
- 38.60°, intensity 26.8
- 50.47°, intensity 14.2
- 56.73°, intensity 21.4
- 58.68°, intensity 13.9

Crystal structure
```
data_Tb4Dy2Tm3
_space_group_name_H-M_alt 'P 1'
_space_group_IT_number 1
_cell_length_a 9.837
_cell_length_b 9.837
_cell_length_c 6.105
_cell_angle_alpha 94.63
_cell_angle_beta 94.63
_cell_angle_gamma 71.73
loop_
_space_group_symop_operation_xyz
'x,y,z'
loop_
_atom_site_label
_atom_site_type_symbol
_atom_site_fract_x
_atom_site_fract_y
_atom_site_fract_z
_atom_site_occupancy
Tb1 Tb 0.096 0.811 0.987 1
Tb2 Tb 0.144 0.430 0.154 1
Tb3 Tb 0.189 0.904 0.513 1
Tb4 Tb 0.430 0.144 0.654 1
Tb5 Tb 0.570 0.856 0.346 1
Tb6 Tb 0.811 0.096 0.487 1
Tb7 Tb 0.856 0.570 0.846 1
Tb8 Tb 0.904 0.189 0.013 1
Dy1 Dy 0.238 0.523 0.680 1
Dy2 Dy 0.477 0.762 0.820 1
Dy3 Dy 0.523 0.238 0.180 1
Dy4 Dy 0.762 0.477 0.320 1
Tm1 Tm 0.070 0.264 0.582 1
Tm2 Tm 0.264 0.070 0.082 1
Tm3 Tm 0.403 0.597 0.250 1
Tm4 Tm 0.597 0.403 0.750 1
Tm5 Tm 0.736 0.930 0.918 1
Tm6 Tm 0.930 0.736 0.418 1
```

=====

# NaCaPrSeO6
Computed powder diffractogram, Cu Kα (weighted mean of Kα1 and Kα2). Input: a cell relaxed with GGA-PBE.
Neutral-atom scattering factors, no anomalous dispersion.

Main lines, by angle (2θ from 10° to 90°):
- 19.25°, intensity 56.9
- 31.68°, intensity 100.0
- 37.34°, intensity 28.7
- 39.06°, intensity 10.7
- 45.42°, intensity 38.2
- 49.76°, intensity 12.1
- 56.43°, intensity 37.4
- 60.20°, intensity 11.1
- 66.18°, intensity 21.7
- 75.24°, intensity 17.6

Crystal structure
```
data_NaCaPrSeO6
_space_group_name_H-M_alt 'P 1'
_space_group_IT_number 1
_cell_length_a 5.648
_cell_length_b 5.648
_cell_length_c 5.648
_cell_angle_alpha 60.00
_cell_angle_beta 60.00
_cell_angle_gamma 60.00
loop_
_space_group_symop_operation_xyz
'x,y,z'
loop_
_atom_site_label
_atom_site_type_symbol
_atom_site_fract_x
_atom_site_fract_y
_atom_site_fract_z
_atom_site_occupancy
Na1 Na 0.000 0.000 0.000 1
Ca1 Ca 0.250 0.250 0.250 1
Pr1 Pr 0.500 0.500 0.500 1
Se1 Se 0.750 0.750 0.750 1
O1 O 0.524 0.524 0.976 1
O2 O 0.524 0.976 0.524 1
O3 O 0.524 0.976 0.976 1
O4 O 0.976 0.524 0.524 1
O5 O 0.976 0.524 0.976 1
O6 O 0.976 0.976 0.524 1
```

=====

# ThPdAu11
Computed powder diffractogram, Cu Kα (weighted mean of Kα1 and Kα2). Input: a cell relaxed with GGA-PBE.
Neutral-atom scattering factors, no anomalous dispersion.

Main lines, by angle (2θ from 10° to 90°):
- 32.06°, intensity 33.7
- 32.25°, intensity 50.8
- 36.94°, intensity 35.6
- 37.08°, intensity 98.2
- 37.61°, intensity 58.0
- 37.83°, intensity 100.0
- 38.09°, intensity 35.0
- 38.73°, intensity 50.0
- 41.64°, intensity 96.6
- 42.01°, intensity 32.3

Crystal structure
```
data_ThPdAu11
_space_group_name_H-M_alt 'P 1'
_space_group_IT_number 1
_cell_length_a 7.435
_cell_length_b 7.435
_cell_length_c 7.086
_cell_angle_alpha 98.08
_cell_angle_beta 98.08
_cell_angle_gamma 135.88
loop_
_space_group_symop_operation_xyz
'x,y,z'
loop_
_atom_site_label
_atom_site_type_symbol
_atom_site_fract_x
_atom_site_fract_y
_atom_site_fract_z
_atom_site_occupancy
Th1 Th 0.000 0.000 0.000 1
Pd1 Pd 0.000 0.000 0.500 1
Au1 Au 0.000 0.500 0.000 1
Au2 Au 0.004 0.667 0.651 1
Au3 Au 0.285 0.496 0.787 1
Au4 Au 0.333 0.996 0.349 1
Au5 Au 0.496 0.285 0.787 1
Au6 Au 0.500 0.000 0.000 1
Au7 Au 0.500 0.500 0.500 1
Au8 Au 0.504 0.715 0.213 1
Au9 Au 0.667 0.004 0.651 1
Au10 Au 0.715 0.504 0.213 1
Au11 Au 0.996 0.333 0.349 1
```